(1)
Starting from a crystal structure in OQMD, relaxed with PBE, the X-ray diffraction stick pattern of K2Ta2O5 was calculated for a wavelength of 1.5418 Å.
Kinematic intensities with the Lorentz-polarization factor, no thermal factor.

Structural model:
```
K2Ta2O5
1.0
4.0009 0.0000 0.0000
0.0000 4.0009 0.0000
0.0000 0.0000 7.8036
K Ta O
2 2 5
Direct
0.0000 0.0000 0.0000
0.0000 0.0000 0.5000
0.5000 0.5000 0.2438
0.5000 0.5000 0.7562
0.0000 0.5000 0.2330
0.0000 0.5000 0.7670
0.5000 0.0000 0.2330
0.5000 0.0000 0.7670
0.5000 0.5000 0.5000
```

The 8 most intense peaks (5° ≤ 2θ ≤ 70°), most intense first:
2θ = 32.0°, rel. 100
2θ = 22.2°, rel. 59
2θ = 31.6°, rel. 44
2θ = 56.6°, rel. 39
2θ = 22.8°, rel. 35
2θ = 45.3°, rel. 28
2θ = 57.4°, rel. 17
2θ = 67.0°, rel. 16

---

(2)
Starting from a crystal structure in OQMD, relaxed with PBE, the X-ray diffraction stick pattern of WSe3SBr was calculated for a wavelength of 1.5418 Å.
Kinematic intensities with the Lorentz-polarization factor, no thermal factor.

Structural model:
```
WSe3SBr
1.0
6.3411 0.0000 0.0000
-0.8713 8.0643 0.0000
-3.1672 -3.7355 6.5836
W Se S Br
2 6 2 2
Direct
0.2265 0.0005 0.0003
0.7735 0.9995 0.9997
0.1050 0.9210 0.2316
0.1159 0.3039 0.1498
0.4644 0.7514 0.9978
0.5356 0.2486 0.0022
0.8841 0.6961 0.8502
0.8950 0.0790 0.7684
0.3389 0.8026 0.7325
0.6611 0.1974 0.2675
0.3347 0.2398 0.6052
0.6653 0.7602 0.3948
```

The 8 most intense peaks (5° ≤ 2θ ≤ 70°), most intense first:
2θ = 12.6°, rel. 100
2θ = 13.4°, rel. 91
2θ = 13.1°, rel. 48
2θ = 23.5°, rel. 26
2θ = 34.3°, rel. 22
2θ = 35.9°, rel. 20
2θ = 40.8°, rel. 19
2θ = 38.1°, rel. 19

---

(3)
Starting from a crystal structure in OQMD, relaxed with PBE, the X-ray diffraction stick pattern of KNbCu2S4 was calculated for a wavelength of 1.5418 Å.
Kinematic intensities with the Lorentz-polarization factor, no thermal factor.

Structural model:
```
KNbCu2S4
1.0
7.4676 0.0000 0.0000
0.0000 9.1736 2.7663
0.0000 -9.1736 2.7663
K Nb Cu S
2 2 4 8
Direct
0.2500 0.1818 0.8182
0.7500 0.8182 0.1818
0.2500 0.1342 0.3585
0.7500 0.3585 0.1342
0.0000 0.2657 0.2657
0.2500 0.6391 0.8532
0.5000 0.2657 0.2657
0.7500 0.8532 0.6391
0.9996 0.3858 0.5995
0.0004 0.5995 0.3858
0.2500 0.0025 0.0150
0.2500 0.7800 0.2019
0.5004 0.3858 0.5995
0.4996 0.5995 0.3858
0.7500 0.0150 0.0025
0.7500 0.2019 0.7800
```

The 8 most intense peaks (5° ≤ 2θ ≤ 70°), most intense first:
2θ = 15.3°, rel. 100
2θ = 29.2°, rel. 57
2θ = 45.3°, rel. 57
2θ = 9.6°, rel. 51
2θ = 36.0°, rel. 32
2θ = 16.7°, rel. 31
2θ = 50.8°, rel. 25
2θ = 48.8°, rel. 17

---

(4)
Starting from a crystal structure in OQMD, relaxed with PBE, the X-ray diffraction stick pattern of Pm2CuSb4 was calculated for a wavelength of 1.5418 Å.
Kinematic intensities with the Lorentz-polarization factor, no thermal factor.

Structural model:
```
Pm2CuSb4
1.0
4.3949 0.0000 0.0000
0.0000 4.3949 0.0000
0.0000 0.0000 9.5929
Pm Cu Sb
2 1 4
Direct
0.0000 0.5000 0.2375
0.5000 0.0000 0.7625
0.5000 0.5000 0.0000
0.0000 0.0000 0.5000
0.0000 0.5000 0.8606
0.5000 0.0000 0.1394
0.5000 0.5000 0.5000
```

The 8 most intense peaks (5° ≤ 2θ ≤ 70°), most intense first:
2θ = 34.4°, rel. 100
2θ = 41.1°, rel. 53
2θ = 30.2°, rel. 42
2θ = 34.7°, rel. 39
2θ = 27.9°, rel. 21
2θ = 54.8°, rel. 21
2θ = 52.0°, rel. 19
2θ = 27.5°, rel. 18

---

(5)
Starting from a crystal structure in OQMD, relaxed with PBE, the X-ray diffraction stick pattern of InRe3Bi5 was calculated for a wavelength of 1.5418 Å.
Kinematic intensities with the Lorentz-polarization factor, no thermal factor.

Structural model:
```
InRe3Bi5
1.0
5.6325 0.0000 0.0000
-2.8163 4.8779 0.0000
0.0000 0.0000 8.5380
In Re Bi
1 3 5
Direct
0.0000 0.0000 0.0000
0.0000 0.5000 0.5000
0.5000 0.0000 0.5000
0.5000 0.5000 0.5000
0.0000 0.0000 0.5000
0.3333 0.6667 0.2111
0.3333 0.6667 0.7889
0.6667 0.3333 0.2111
0.6667 0.3333 0.7889
```

The 8 most intense peaks (5° ≤ 2θ ≤ 70°), most intense first:
2θ = 42.7°, rel. 100
2θ = 38.3°, rel. 79
2θ = 31.8°, rel. 67
2θ = 10.4°, rel. 61
2θ = 27.8°, rel. 52
2θ = 31.4°, rel. 35
2θ = 66.4°, rel. 26
2θ = 18.2°, rel. 20

---

(6)
Starting from a crystal structure in OQMD, relaxed with PBE, the X-ray diffraction stick pattern of AlCuRe2 was calculated for a wavelength of 1.5418 Å.
Kinematic intensities with the Lorentz-polarization factor, no thermal factor.

Structural model:
```
AlCuRe2
1.0
6.0663 0.0000 0.0000
0.0000 6.0663 0.0000
0.0000 0.0000 6.0663
Al Cu Re
4 4 8
Direct
0.0000 0.0000 0.0000
0.0000 0.5000 0.5000
0.5000 0.0000 0.5000
0.5000 0.5000 0.0000
0.2500 0.2500 0.2500
0.2500 0.7500 0.7500
0.7500 0.2500 0.7500
0.7500 0.7500 0.2500
0.0000 0.0000 0.5000
0.0000 0.5000 0.0000
0.2500 0.2500 0.7500
0.2500 0.7500 0.2500
0.5000 0.0000 0.0000
0.5000 0.5000 0.5000
0.7500 0.2500 0.2500
0.7500 0.7500 0.7500
```

The 6 most intense peaks (5° ≤ 2θ ≤ 70°), most intense first:
2θ = 42.1°, rel. 100
2θ = 25.4°, rel. 43
2θ = 49.9°, rel. 22
2θ = 61.1°, rel. 17
2θ = 67.3°, rel. 9
2θ = 29.4°, rel. 1